[1]
The following is a simulated XRD peak list of Ba3V2N4. It was derived from a cell relaxed with PBE, using λ = 1.5418 Å (Cu Kα).
No peak broadening, texture or thermal motion is included.

Largest 12 diffraction maxima, in order of rising 2θ, 2θ from 10° to 90°:
2θ (°), I/Imax
21.8, 13
22.6, 16
27.8, 49
29.0, 100
30.3, 40
38.1, 36
44.4, 13
49.2, 13
49.5, 16
53.0, 18
54.7, 13
64.0, 14

Crystal structure
Cell lengths 5.900, 16.300, 7.857 Å; angles 90.00, 90.00, 90.00 degrees
Space group Imma (No. 74)
Inequivalent atoms, fractional coordinates:
Ba 0.000 0.112 0.068 (multiplicity 8)
Ba 0.000 0.250 0.573 (multiplicity 4)
V 0.000 0.041 0.642 (multiplicity 8)
N 0.000 0.075 0.415 (multiplicity 8)
N 0.250 0.085 0.750 (multiplicity 8)

[2]
The following is a simulated XRD peak list of Cs4ZrO4. It was derived from a cell relaxed with PBE, using λ = 1.5418 Å (Cu Kα).
No peak broadening, texture or thermal motion is included.

Largest 12 diffraction maxima, in order of rising 2θ, 2θ from 10° to 90°:
2θ (°), I/Imax
25.7, 25
26.4, 100
26.6, 85
26.9, 36
28.3, 23
29.4, 51
31.3, 59
33.2, 16
41.3, 14
43.5, 35
46.8, 17
51.1, 15

Crystal structure
Cell lengths 7.286, 20.269, 7.299 Å; angles 90.00, 113.04, 90.00 degrees
Space group P2_1/c (No. 14)
Inequivalent atoms, fractional coordinates:
Cs 0.161 0.082 0.224 (multiplicity 4)
Cs 0.194 0.214 0.678 (multiplicity 4)
Cs 0.279 0.013 0.747 (multiplicity 4)
Cs 0.316 0.691 0.309 (multiplicity 4)
Zr 0.246 0.622 0.793 (multiplicity 4)
O 0.075 0.689 0.599 (multiplicity 4)
O 0.093 0.595 0.959 (multiplicity 4)
O 0.292 0.547 0.636 (multiplicity 4)
O 0.499 0.666 0.973 (multiplicity 4)

[3]
The following is a simulated XRD peak list of Tb3Nd7Sm. It was derived from a cell relaxed with PBE, using λ = 1.5418 Å (Cu Kα).
No peak broadening, texture or thermal motion is included.

Largest 12 diffraction maxima, in order of rising 2θ, 2θ from 10° to 90°:
2θ (°), I/Imax
28.6, 30
29.2, 29
30.9, 52
31.6, 100
33.2, 85
37.4, 15
39.8, 14
50.2, 26
54.2, 22
57.5, 18
60.1, 45
60.5, 15

Crystal structure
Cell lengths 19.314, 7.266, 12.595 Å; angles 90.00, 115.79, 90.00 degrees
Space group C2/c (No. 15)
Inequivalent atoms, fractional coordinates:
Tb 0.000 0.000 0.000 (multiplicity 4)
Tb 0.168 0.498 0.276 (multiplicity 8)
Nd 0.000 0.265 0.250 (multiplicity 4)
Nd 0.161 0.005 0.775 (multiplicity 8)
Nd 0.167 0.251 0.029 (multiplicity 8)
Nd 0.168 0.252 0.530 (multiplicity 8)
Sm 0.000 0.500 0.000 (multiplicity 4)

[4]
The following is a simulated XRD peak list of MnAs2Pd. It was derived from a cell relaxed with PBE, using λ = 1.5418 Å (Cu Kα).
No peak broadening, texture or thermal motion is included.

Largest 12 diffraction maxima, in order of rising 2θ, 2θ from 10° to 90°:
2θ (°), I/Imax
21.6, 5
26.9, 5
31.8, 100
45.8, 35
46.0, 18
48.5, 59
61.5, 14
66.9, 11
70.9, 18
80.0, 13
80.1, 13
87.0, 11

Crystal structure
Cell lengths 4.263, 4.263, 15.793 Å; angles 90.00, 90.00, 90.00 degrees
Space group I-42d (No. 122)
Inequivalent atoms, fractional coordinates:
Mn 0.000 0.000 0.000 (multiplicity 4)
As 0.238 0.250 0.125 (multiplicity 8)
Pd 0.000 0.000 0.500 (multiplicity 4)